Computed powder diffractogram
Compound: LiTmN
Radiation: Cu Kα, 1.54184 Å
Structure: a DFT-relaxed cell (GGA-PBE, OQMD)
Peak positions follow from Bragg's law for the DFT cell and can differ from measured ones.

Crystal structure
```
LiTmN
1.0
1.615 0.933 12.357
-1.615 0.933 12.357
0.000 -1.865 12.357
Li Tm N
2 2 2
Direct
0.000 0.000 0.000
0.097 0.097 0.097
0.586 0.586 0.586
0.844 0.844 0.844
0.366 0.366 0.366
0.398 0.398 0.398
```

Largest 10 diffraction maxima, by angle, 2θ = 10–90°:
21.57 deg, I 27; 28.90 deg, I 40; 32.08 deg, I 42; 33.45 deg, I 100; 34.26 deg, I 36; 36.33 deg, I 70; 37.55 deg, I 63; 41.97 deg, I 39; 57.57 deg, I 37; 69.51 deg, I 27